The following is a calculated X-ray powder pattern of NpTl2Se3. It was derived from a cell relaxed with PBE, using Cu Kα (weighted mean of Kα1 and Kα2).

The 6 most intense peaks (2θ = 15–90°), by intensity:
- 2θ 27.1, intensity 100, (1 3 0)
- 2θ 40.4, intensity 60, (1 3 4)
- 2θ 29.4, intensity 43, (0 0 4)
- 2θ 18.5, intensity 28, (0 2 2)
- 2θ 26.3, intensity 21, (1 1 2)
- 2θ 52.8, intensity 17, (2 0 4)

Cell and atoms:
abc: 4.228 15.718 12.147
angles: 90.00 90.00 90.00
Space group Cmcm (No. 63)
Unique sites:
Np (0.000, 0.000, 0.000)
Tl (0.000, 0.348, 0.250)
Tl (0.000, 0.355, 0.750)
Se (0.000, 0.003, 0.750)
Se (0.000, 0.383, 0.001)